# 1
For GaCu3, a DFT-relaxed cell (GGA-PBE, Alexandria) gives the calculated X-ray powder pattern in this record (Cu Kα (λ = 1.5418 Å)).
Neutral-atom scattering factors, no anomalous dispersion.

Structure:
Cell: 8.2894 3.6886 3.6888 Å, 90.00 116.26 90.00°
Space group C2/m (No. 12)
Unique sites:
Ga1 0.0000 0.0000 0.0000 [2 per cell]
Cu1 0.0000 0.5000 0.5000 [2 per cell]
Cu2 0.2500 0.0000 0.7500 [4 per cell]

The 8 most intense peaks (10 to 90 degrees two-theta), in order of rising 2θ:
42.33 deg, 2.135 Å, I 100.0; 49.02 deg, 1.858 Å, I 16.0; 49.42 deg, 1.844 Å, I 31.1; 72.16 deg, 1.309 Å, I 9.2; 72.47 deg, 1.304 Å, I 9.1; 87.00 deg, 1.120 Å, I 5.5; 87.63 deg, 1.113 Å, I 10.8; 87.74 deg, 1.112 Å, I 10.8

# 2
For GaCu2, a DFT-relaxed cell (GGA-PBE, Alexandria) gives the calculated X-ray powder pattern in this record (Cu Kα (λ = 1.5418 Å)).
Neutral-atom scattering factors, no anomalous dispersion.

Structure:
Cell: 2.5744 4.1809 4.2381 Å, 60.66 89.40 88.00°
Space group P-1 (No. 2)
Unique sites:
Ga1 0.0000 0.0000 0.0000 [1 per cell]
Cu1 0.4989 0.3341 0.3301 [2 per cell]

The 8 most intense peaks (10 to 90 degrees two-theta), in order of rising 2θ:
42.31 deg, 2.136 Å, I 31.2; 42.54 deg, 2.125 Å, I 100.0; 42.68 deg, 2.119 Å, I 97.2; 42.99 deg, 2.104 Å, I 28.6; 43.31 deg, 2.089 Å, I 64.4; 43.65 deg, 2.073 Å, I 29.0; 43.77 deg, 2.068 Å, I 28.9; 87.71 deg, 1.113 Å, I 15.6

# 3
For GaCu4, a DFT-relaxed cell (GGA-PBE, Alexandria) gives the calculated X-ray powder pattern in this record (Cu Kα (λ = 1.5418 Å)).
Neutral-atom scattering factors, no anomalous dispersion.

Structure:
Cell: 3.9929 5.0571 12.5165 Å, 90.00 90.00 90.00°
Space group Imma (No. 74)
Unique sites:
Ga1 0.0000 0.2500 0.1087 [4 per cell]
Cu1 0.0000 0.0000 0.5000 [4 per cell]
Cu2 0.0000 0.0053 0.6958 [8 per cell]
Cu3 0.0000 0.2500 0.8944 [4 per cell]

The 8 most intense peaks (10 to 90 degrees two-theta), in order of rising 2θ:
42.63 deg, 2.121 Å, I 100.0; 42.95 deg, 2.106 Å, I 84.4; 45.43 deg, 1.996 Å, I 42.4; 46.16 deg, 1.967 Å, I 33.9; 47.84 deg, 1.901 Å, I 14.5; 57.25 deg, 1.609 Å, I 16.1; 66.77 deg, 1.401 Å, I 20.8; 75.98 deg, 1.252 Å, I 20.4

# 4
For GaCu5, a DFT-relaxed cell (GGA-PBE, Alexandria) gives the calculated X-ray powder pattern in this record (Cu Kα (λ = 1.5418 Å)).
Neutral-atom scattering factors, no anomalous dispersion.

Structure:
Cell: 8.1228 3.7610 5.1305 Å, 90.00 107.91 90.00°
Space group C2/m (No. 12)
Unique sites:
Ga1 0.0000 0.0000 0.0000 [2 per cell]
Cu1 0.0000 0.0000 0.5000 [2 per cell]
Cu2 0.1657 0.5000 0.3361 [4 per cell]
Cu3 0.1676 0.5000 0.8300 [4 per cell]

The 8 most intense peaks (10 to 90 degrees two-theta), in order of rising 2θ:
42.53 deg, 2.125 Å, I 100.0; 42.67 deg, 2.119 Å, I 99.0; 48.40 deg, 1.880 Å, I 33.7; 49.95 deg, 1.826 Å, I 30.5; 50.42 deg, 1.810 Å, I 29.5; 72.11 deg, 1.310 Å, I 18.6; 72.48 deg, 1.304 Å, I 18.3; 86.34 deg, 1.127 Å, I 22.5